No. 1
Structure and calculated powder diffractogram of Ac2CoH6Pt (a cell relaxed with GGA-PBE; copper Kα).
No peak broadening, texture or thermal motion is included.

Atomic structure:
abc: 5.4887 5.4887 5.4893
angles: 119.97 119.97 89.93
Sites, in units of the cell vectors:
Ac 0.2497 0.7503 0.0000
Ac 0.7503 0.2497 0.0000
Co 0.0011 0.0011 0.5025
H 0.2095 0.2095 0.4982
H 0.2102 0.2102 0.9212
H 0.2109 0.7883 0.4996
H 0.7883 0.2109 0.4996
H 0.7882 0.7882 0.0750
H 0.7898 0.7898 0.5009
Pt 0.5319 0.5319 0.5662

Principal peaks in the range 2θ = 10–90°, by intensity:
d_spacing  2θ/deg  I/Imax
2.746  32.61  100
1.586  58.17  25
1.584  58.24  13
1.943  46.76  12
1.372  68.35  10
3.884  22.90  9
4.484  19.80  8
1.939  46.85  6
1.227  77.87  6
1.228  77.78  5


No. 2
Structure and calculated powder diffractogram of CaMgTl14 (a cell relaxed with GGA-PBE; copper Kα).
No peak broadening, texture or thermal motion is included.

Atomic structure:
abc: 11.0461 6.7763 6.7763
angles: 70.50 90.00 90.00
Sites, in units of the cell vectors:
Ca 0.0000 0.0000 0.0000
Mg 0.0000 0.4694 0.4694
Tl 0.0000 0.5134 0.9578
Tl 0.0000 0.9578 0.5134
Tl 0.2392 0.2641 0.2641
Tl 0.2413 0.3025 0.7533
Tl 0.2413 0.7533 0.3025
Tl 0.2587 0.7930 0.7930
Tl 0.5000 0.0151 0.0151
Tl 0.5000 0.0262 0.5066
Tl 0.5000 0.5066 0.0262
Tl 0.5000 0.5204 0.5204
Tl 0.7413 0.7930 0.7930
Tl 0.7587 0.3025 0.7533
Tl 0.7587 0.7533 0.3025
Tl 0.7608 0.2641 0.2641

Principal peaks in the range 2θ = 10–90°, by intensity:
d_spacing  2θ/deg  I/Imax
2.765  32.38  100
1.596  57.77  33
1.955  46.45  17
1.237  77.14  9
1.383  67.78  7
2.473  36.32  4
3.067  29.11  4
3.192  27.95  3
5.529  16.03  2
1.235  77.22  2